1.
Diffraction record for NdPaTe. The X-ray diffraction stick pattern is calculated, not measured: it uses DFT lattice parameters and positions (PBE) and copper Kα.
Peak positions follow from Bragg's law for the DFT cell and can differ from measured ones.

Atomic structure:
Cell: 14.9373 3.7206 3.7206 Å, 60.01 90.00 90.00°
Positions (direct):
1 Nd 0.1883 0.0000 0.0000
2 Nd 0.8117 0.0000 0.0000
3 Pa 0.0000 0.6657 0.6657
4 Pa 0.5000 0.9998 0.9998
5 Te 0.3492 0.6665 0.6665
6 Te 0.6508 0.6665 0.6665

Main lines, in order of rising 2θ (5° ≤ 2θ ≤ 70°):
| two_theta | I_rel |
| --- | --- |
| 11.85 | 7 |
| 27.68 | 29 |
| 28.33 | 6 |
| 33.11 | 100 |
| 36.08 | 14 |
| 46.07 | 11 |
| 48.96 | 24 |
| 60.39 | 18 |
| 62.30 | 18 |
| 63.00 | 9 |

***

2.
Diffraction record for CsRbCr2Br8. The X-ray diffraction stick pattern is calculated, not measured: it uses DFT lattice parameters and positions (PBE) and copper Kα.
Peak positions follow from Bragg's law for the DFT cell and can differ from measured ones.

Atomic structure:
Cell: 11.2761 11.2761 11.2761 Å, 38.23 38.23 38.23°
Positions (direct):
1 Cs 0.0000 0.0000 0.0000
2 Rb 0.5000 0.5000 0.5000
3 Cr 0.2540 0.2540 0.2540
4 Cr 0.7460 0.7460 0.7460
5 Br 0.0375 0.4307 0.8350
6 Br 0.1650 0.9625 0.5693
7 Br 0.3290 0.3290 0.3290
8 Br 0.4307 0.8350 0.0375
9 Br 0.5693 0.1650 0.9625
10 Br 0.6710 0.6710 0.6710
11 Br 0.8350 0.0375 0.4307
12 Br 0.9625 0.5693 0.1650

Main lines, in order of rising 2θ (5° ≤ 2θ ≤ 70°):
| two_theta | I_rel |
| --- | --- |
| 17.91 | 32 |
| 24.10 | 17 |
| 25.59 | 100 |
| 26.70 | 17 |
| 29.63 | 66 |
| 38.99 | 15 |
| 42.40 | 58 |
| 50.19 | 28 |
| 55.68 | 15 |
| 61.55 | 12 |

***

3.
Diffraction record for LiOs2F11. The X-ray diffraction stick pattern is calculated, not measured: it uses DFT lattice parameters and positions (PBE) and copper Kα.
Peak positions follow from Bragg's law for the DFT cell and can differ from measured ones.

Atomic structure:
Cell: 8.6083 8.6083 8.6083 Å, 124.15 101.61 103.74°
Positions (direct):
1 Li 0.2500 0.2500 0.0000
2 Li 0.7500 0.7500 0.0000
3 Os 0.0896 0.7229 0.8126
4 Os 0.4104 0.2229 0.6333
5 Os 0.5896 0.7771 0.3667
6 Os 0.9104 0.2771 0.1874
7 F 0.0000 0.5000 0.5000
8 F 0.0575 0.5056 0.8232
9 F 0.1068 0.9402 0.7949
10 F 0.1453 0.3119 0.2051
11 F 0.1760 0.9214 0.0974
12 F 0.1824 0.0056 0.4481
13 F 0.3176 0.7656 0.8232
14 F 0.3240 0.4214 0.7454
15 F 0.3547 0.5598 0.1666
16 F 0.3932 0.1881 0.8334
17 F 0.4425 0.2656 0.4481
18 F 0.5000 0.0000 0.5000
19 F 0.5575 0.7344 0.5519
20 F 0.6068 0.8119 0.1666
21 F 0.6453 0.4402 0.8334
22 F 0.6760 0.5786 0.2546
23 F 0.6824 0.2344 0.1768
24 F 0.8176 0.9944 0.5519
25 F 0.8240 0.0786 0.9026
26 F 0.8547 0.6881 0.7949
27 F 0.8932 0.0598 0.2051
28 F 0.9425 0.4944 0.1768

Main lines, in order of rising 2θ (5° ≤ 2θ ≤ 70°):
| two_theta | I_rel |
| --- | --- |
| 16.29 | 12 |
| 16.68 | 60 |
| 21.40 | 100 |
| 22.05 | 24 |
| 27.77 | 19 |
| 32.12 | 29 |
| 38.30 | 10 |
| 43.41 | 13 |
| 47.27 | 11 |
| 48.34 | 12 |